Structure and simulated PXRD pattern of LuB4Rh4 (a GGA-PBE-relaxed structure; Cu Kα (λ = 1.5418 Å)).
Neutral-atom scattering factors, no anomalous dispersion.

Cell and atoms:
```
data_LuB4Rh4
_space_group_name_H-M_alt 'C c c e'
_space_group_IT_number 68
_cell_length_a 7.5073
_cell_length_b 22.3856
_cell_length_c 7.5127
_cell_angle_alpha 90.00
_cell_angle_beta 90.00
_cell_angle_gamma 90.00
loop_
_space_group_symop_operation_xyz
'x,y,z'
'-x,-y,-z'
'-x+1/2,-y,z'
'x+1/2,y,-z'
'x+1/2,-y,-z+1/2'
'-x+1/2,y,z+1/2'
'-x,y,-z+1/2'
'x,-y,z+1/2'
'x+1/2,y+1/2,z'
'-x+1/2,-y+1/2,-z'
'-x,-y+1/2,z'
'x,y+1/2,-z'
'x,-y+1/2,-z+1/2'
'-x,y+1/2,z+1/2'
'-x+1/2,y+1/2,-z+1/2'
'x+1/2,-y+1/2,z+1/2'
loop_
_atom_site_label
_atom_site_type_symbol
_atom_site_fract_x
_atom_site_fract_y
_atom_site_fract_z
Lu1 Lu 0.0000 0.0832 0.2500
Lu2 Lu 0.0000 0.2500 0.7500
B1 B 0.1370 0.1396 0.5780
B2 B 0.1445 0.1966 0.4157
B3 B 0.1695 0.0284 0.8863
Rh1 Rh 0.1162 0.0413 0.5941
Rh2 Rh 0.1493 0.2071 0.1260
Rh3 Rh 0.1541 0.1245 0.8644
```

Largest 6 diffraction maxima, low angle first, 10° ≤ 2θ ≤ 90°:
index	Position (°2θ)	d/Å	I_rel
2 4 1	31.1	2.879	23.4
1 5 2	33.3	2.687	28.9
0 6 2	33.9	2.647	21.8
3 3 1	39.8	2.263	100.0
1 9 1	40.0	2.252	41.4
0 12 4	71.3	1.323	23.3


Structure and simulated PXRD pattern of LuB4Rh (a GGA-PBE-relaxed structure; Cu Kα (λ = 1.5418 Å)).
Neutral-atom scattering factors, no anomalous dispersion.

Cell and atoms:
```
data_LuB4Rh
_space_group_name_H-M_alt 'P b a m'
_space_group_IT_number 55
_cell_length_a 5.9185
_cell_length_b 11.4707
_cell_length_c 3.5290
_cell_angle_alpha 90.00
_cell_angle_beta 90.00
_cell_angle_gamma 90.00
loop_
_space_group_symop_operation_xyz
'x,y,z'
'-x,-y,-z'
'-x,-y,z'
'x,y,-z'
'x+1/2,-y+1/2,-z'
'-x+1/2,y+1/2,z'
'-x+1/2,y+1/2,-z'
'x+1/2,-y+1/2,z'
loop_
_atom_site_label
_atom_site_type_symbol
_atom_site_fract_x
_atom_site_fract_y
_atom_site_fract_z
Lu1 Lu 0.1296 0.1491 0.0000
B1 B 0.0243 0.6936 0.5000
B2 B 0.1139 0.5475 0.5000
B3 B 0.1350 0.9695 0.5000
B4 B 0.2105 0.8120 0.5000
Rh1 Rh 0.1422 0.4049 0.0000
```

Largest 6 diffraction maxima, low angle first, 10° ≤ 2θ ≤ 90°:
index	Position (°2θ)	d/Å	I_rel
0 0 1	25.2	3.529	74.4
0 4 0	31.2	2.866	84.1
0 4 1	40.5	2.225	100.0
1 4 1	43.4	2.083	21.6
2 3 1	46.6	1.950	26.1
0 4 2	61.7	1.503	24.5


Structure and simulated PXRD pattern of LuB4Rh4 (a GGA-PBE-relaxed structure; Cu Kα (λ = 1.5418 Å)).
Neutral-atom scattering factors, no anomalous dispersion.

Cell and atoms:
```
data_LuB4Rh4
_space_group_name_H-M_alt 'I 41/a c d'
_space_group_IT_number 142
_cell_length_a 7.5167
_cell_length_b 7.5167
_cell_length_c 14.8961
_cell_angle_alpha 90.00
_cell_angle_beta 90.00
_cell_angle_gamma 90.00
loop_
_space_group_symop_operation_xyz
'x,y,z'
'-x,-y,-z'
'-y+1/4,x+3/4,z+1/4'
'y+1/4,-x+3/4,-z+1/4'
'-x+1/2,-y,z+1/2'
'x+1/2,y,-z+1/2'
'y+1/4,-x+1/4,z+3/4'
'-y+1/4,x+1/4,-z+3/4'
'x,-y,-z+1/2'
'-x,y,z+1/2'
'-y+1/4,-x+1/4,-z+1/4'
'y+1/4,x+1/4,z+1/4'
'-x+1/2,y,-z'
'x+1/2,-y,z'
'y+1/4,x+3/4,-z+3/4'
'-y+1/4,-x+3/4,z+3/4'
'x+1/2,y+1/2,z+1/2'
'-x+1/2,-y+1/2,-z+1/2'
'-y+3/4,x+1/4,z+3/4'
'y+3/4,-x+1/4,-z+3/4'
'-x,-y+1/2,z'
'x,y+1/2,-z'
'y+3/4,-x+3/4,z+1/4'
'-y+3/4,x+3/4,-z+1/4'
'x+1/2,-y+1/2,-z'
'-x+1/2,y+1/2,z'
'-y+3/4,-x+3/4,-z+3/4'
'y+3/4,x+3/4,z+3/4'
'-x,y+1/2,-z+1/2'
'x,-y+1/2,z+1/2'
'y+3/4,x+1/4,-z+1/4'
'-y+3/4,-x+1/4,z+1/4'
loop_
_atom_site_label
_atom_site_type_symbol
_atom_site_fract_x
_atom_site_fract_y
_atom_site_fract_z
Lu1 Lu 0.0000 0.2500 0.1250
B1 B 0.1371 0.0799 0.2927
Rh1 Rh 0.1165 0.0958 0.4383
```

Largest 6 diffraction maxima, low angle first, 10° ≤ 2θ ≤ 90°:
index	Position (°2θ)	d/Å	I_rel
2 1 3	32.2	2.784	59.3
2 0 4	33.9	2.645	22.0
3 1 2	39.8	2.264	100.0
1 1 6	40.1	2.249	42.0
2 1 5	40.5	2.230	34.3
4 0 8	71.3	1.323	23.0


Structure and simulated PXRD pattern of LuThB8Rh8 (a GGA-PBE-relaxed structure; Cu Kα (λ = 1.5418 Å)).
Neutral-atom scattering factors, no anomalous dispersion.

Cell and atoms:
```
data_LuThB8Rh8
_space_group_name_H-M_alt 'P -4 m 2'
_space_group_IT_number 115
_cell_length_a 5.3509
_cell_length_b 5.3509
_cell_length_c 7.5249
_cell_angle_alpha 90.00
_cell_angle_beta 90.00
_cell_angle_gamma 90.00
loop_
_space_group_symop_operation_xyz
'x,y,z'
'y,-x,-z'
'-x,-y,z'
'-y,x,-z'
'-x,y,z'
'-y,-x,-z'
'x,-y,z'
'y,x,-z'
loop_
_atom_site_label
_atom_site_type_symbol
_atom_site_fract_x
_atom_site_fract_y
_atom_site_fract_z
Lu1 Lu 0.0000 0.0000 0.0000
Th1 Th 0.5000 0.5000 0.5000
B1 B 0.0000 0.3335 0.6509
B2 B 0.1688 0.5000 0.1488
Rh1 Rh 0.0000 0.2487 0.3502
Rh2 Rh 0.2495 0.5000 0.8586
```

Largest 6 diffraction maxima, low angle first, 10° ≤ 2θ ≤ 90°:
index	Position (°2θ)	d/Å	I_rel
1 1 0	23.5	3.784	27.4
1 0 2	29.0	3.078	34.1
2 0 0	33.6	2.671	43.1
2 0 1	35.6	2.521	59.2
2 1 1	39.5	2.280	100.0
1 0 3	39.7	2.271	70.3


Structure and simulated PXRD pattern of LuB2Ru (a GGA-PBE-relaxed structure; Cu Kα (λ = 1.5418 Å)).
Neutral-atom scattering factors, no anomalous dispersion.

Cell and atoms:
```
data_LuB2Ru
_space_group_name_H-M_alt 'P n m a'
_space_group_IT_number 62
_cell_length_a 5.8299
_cell_length_b 5.2629
_cell_length_c 6.2885
_cell_angle_alpha 90.00
_cell_angle_beta 90.00
_cell_angle_gamma 90.00
loop_
_space_group_symop_operation_xyz
'x,y,z'
'-x,-y,-z'
'-x+1/2,-y,z+1/2'
'x+1/2,y,-z+1/2'
'x+1/2,-y+1/2,-z+1/2'
'-x+1/2,y+1/2,z+1/2'
'-x,y+1/2,-z'
'x,-y+1/2,z'
loop_
_atom_site_label
_atom_site_type_symbol
_atom_site_fract_x
_atom_site_fract_y
_atom_site_fract_z
Lu1 Lu 0.0113 0.2500 0.1656
B1 B 0.1347 0.5838 0.4648
Ru1 Ru 0.1806 0.2500 0.6817
```

Largest 6 diffraction maxima, low angle first, 10° ≤ 2θ ≤ 90°:
index	Position (°2θ)	d/Å	I_rel
0 0 2	28.4	3.144	23.3
0 2 0	34.1	2.631	56.1
1 1 2	36.7	2.449	88.2
2 1 1	38.1	2.363	100.0
2 3 1	63.7	1.462	22.1
3 2 3	75.9	1.253	22.0


Structure and simulated PXRD pattern of LuUB8 (a GGA-PBE-relaxed structure; Cu Kα (λ = 1.5418 Å)).
Neutral-atom scattering factors, no anomalous dispersion.

Cell and atoms:
```
data_LuUB8
_space_group_name_H-M_alt 'C m m m'
_space_group_IT_number 65
_space_group_name_Hall '-C 2 2'
_cell_length_a 9.8902
_cell_length_b 9.9992
_cell_length_c 3.9566
_cell_angle_alpha 90.00
_cell_angle_beta 90.00
_cell_angle_gamma 90.00
loop_
_atom_site_label
_atom_site_type_symbol
_atom_site_fract_x
_atom_site_fract_y
_atom_site_fract_z
Lu1 Lu 0.0000 0.1814 0.0000
U1 U 0.1879 0.5000 0.0000
B1 B 0.0000 0.4141 0.5000
B2 B 0.0884 0.0000 0.5000
B3 B 0.1423 0.3210 0.5000
B4 B 0.1815 0.1409 0.5000
B5 B 0.2500 0.2500 0.2001
```

Largest 6 diffraction maxima, low angle first, 10° ≤ 2θ ≤ 90°:
index	Position (°2θ)	d/Å	I_rel
0 0 1	22.5	3.957	100.0
2 2 0	25.3	3.516	72.6
3 1 0	28.5	3.131	67.2
2 2 1	34.1	2.628	92.4
1 3 1	36.4	2.469	76.4
3 1 1	36.6	2.455	83.3


Structure and simulated PXRD pattern of MgB4 (a GGA-PBE-relaxed structure; Cu Kα (λ = 1.5418 Å)).
Neutral-atom scattering factors, no anomalous dispersion.

Cell and atoms:
```
data_MgB4
_space_group_name_H-M_alt 'P n m a'
_space_group_IT_number 62
_cell_length_a 5.4879
_cell_length_b 4.3973
_cell_length_c 7.4238
_cell_angle_alpha 90.00
_cell_angle_beta 90.00
_cell_angle_gamma 90.00
loop_
_space_group_symop_operation_xyz
'x,y,z'
'-x,-y,-z'
'-x+1/2,-y,z+1/2'
'x+1/2,y,-z+1/2'
'x+1/2,-y+1/2,-z+1/2'
'-x+1/2,y+1/2,z+1/2'
'-x,y+1/2,-z'
'x,-y+1/2,z'
loop_
_atom_site_label
_atom_site_type_symbol
_atom_site_fract_x
_atom_site_fract_y
_atom_site_fract_z
Mg1 Mg 0.0455 0.2500 0.1378
B1 B 0.0532 0.2500 0.6471
B2 B 0.1323 0.0580 0.4368
B3 B 0.2223 0.2500 0.8464
```

Largest 6 diffraction maxima, low angle first, 10° ≤ 2θ ≤ 90°:
index	Position (°2θ)	d/Å	I_rel
1 1 2	35.6	2.520	100.0
2 1 0	38.7	2.328	37.3
2 1 1	40.6	2.221	27.3
1 2 1	46.1	1.968	22.9
3 1 2	60.2	1.537	23.5
1 3 2	71.3	1.323	19.4


Structure and simulated PXRD pattern of MgB3 (a GGA-PBE-relaxed structure; Cu Kα (λ = 1.5418 Å)).
Neutral-atom scattering factors, no anomalous dispersion.

Cell and atoms:
```
data_MgB3
_space_group_name_H-M_alt 'P 4/m m m'
_space_group_IT_number 123
_space_group_name_Hall '-P 4 2'
_cell_length_a 4.1150
_cell_length_b 4.1150
_cell_length_c 6.3661
_cell_angle_alpha 90.00
_cell_angle_beta 90.00
_cell_angle_gamma 90.00
loop_
_atom_site_label
_atom_site_type_symbol
_atom_site_fract_x
_atom_site_fract_y
_atom_site_fract_z
Mg1 Mg 0.0000 0.0000 0.2235
B1 B 0.1991 0.5000 0.5000
B2 B 0.5000 0.5000 0.3101
```

Largest 6 diffraction maxima, low angle first, 10° ≤ 2θ ≤ 90°:
index	Position (°2θ)	d/Å	I_rel
0 0 1	13.9	6.366	100.0
1 0 1	25.8	3.456	41.0
1 1 0	30.7	2.910	55.8
1 0 2	35.7	2.518	50.9
1 1 2	42.1	2.148	65.1
2 0 0	44.0	2.058	28.6